Record 1
Diffraction record for NbZnH. The XRD peak list is simulated, not measured: it uses a crystal structure in Alexandria, relaxed with PBE and Cu Ka.
Peak positions follow from Bragg's law for the DFT cell and can differ from measured ones.

Cell and atoms:
```
NbZnH
1.0
3.513 0.000 0.000
0.000 10.353 0.000
0.000 0.000 3.802
Nb Zn H
4 4 4
Cartesian
0.000 1.700 0.950
0.000 8.653 2.851
1.756 3.477 2.851
1.756 6.876 0.950
0.000 4.478 0.950
0.000 5.875 2.851
1.756 0.698 2.851
1.756 9.655 0.950
0.000 2.475 2.851
0.000 7.878 0.950
1.756 2.702 0.950
1.756 7.651 2.851
```

Largest 10 diffraction maxima, low angle first, 2θ from 10° to 80°:
two_theta	d/Å	I/Imax
35.9	2.503	1000
36.5	2.462	537
42.2	2.139	585
43.8	2.066	255
47.9	1.901	252
52.1	1.756	195
61.6	1.505	222
68.9	1.363	91
69.2	1.358	254
73.4	1.290	132

Record 2
Diffraction record for Nb3Zn3H. The XRD peak list is simulated, not measured: it uses a crystal structure in Alexandria, relaxed with PBE and Cu Ka.
Peak positions follow from Bragg's law for the DFT cell and can differ from measured ones.

Cell and atoms:
```
Nb3Zn3H
1.0
0.000 5.824 5.824
5.824 0.000 5.824
5.824 5.824 0.000
Nb Zn H
12 12 4
Cartesian
4.368 4.368 0.671
4.368 0.671 4.368
8.065 4.368 4.368
7.279 7.279 3.583
7.279 3.583 7.279
10.976 7.279 7.279
0.671 4.368 4.368
4.368 8.065 4.368
4.368 4.368 8.065
3.583 7.279 7.279
7.279 10.976 7.279
7.279 7.279 10.976
5.824 2.912 2.912
3.396 3.396 3.396
5.339 5.339 3.396
5.339 3.396 5.339
8.251 6.308 6.308
2.912 5.824 2.912
2.912 2.912 5.824
5.824 5.824 5.824
3.396 5.339 5.339
6.308 8.251 6.308
6.308 6.308 8.251
8.251 8.251 8.251
0.000 0.000 0.000
2.912 2.912 0.000
2.912 0.000 2.912
0.000 2.912 2.912
```

Largest 10 diffraction maxima, low angle first, 2θ from 10° to 80°:
two_theta	d/Å	I/Imax
33.5	2.672	166
37.8	2.377	393
40.2	2.241	1000
44.0	2.059	171
46.8	1.941	74
56.4	1.631	51
65.6	1.423	48
68.3	1.373	360
69.9	1.345	84
74.7	1.271	34

Record 3
Diffraction record for NbZnH. The XRD peak list is simulated, not measured: it uses a crystal structure in Alexandria, relaxed with PBE and Cu Ka.
Peak positions follow from Bragg's law for the DFT cell and can differ from measured ones.

Cell and atoms:
```
NbZnH
1.0
8.364 0.000 0.000
0.000 3.925 0.000
0.000 0.000 4.284
Nb Zn H
4 4 4
Cartesian
1.279 0.981 0.000
1.279 2.944 2.142
7.085 0.981 2.142
7.085 2.944 0.000
3.319 0.981 2.139
3.319 2.944 4.281
5.045 0.981 4.281
5.045 2.944 2.139
0.765 0.981 2.146
0.765 2.944 0.003
7.598 0.981 0.003
7.598 2.944 2.146
```

Largest 10 diffraction maxima, low angle first, 2θ from 10° to 80°:
two_theta	d/Å	I/Imax
32.1	2.788	70
32.7	2.735	71
37.8	2.380	1000
42.2	2.142	209
43.3	2.091	124
46.3	1.962	158
62.0	1.496	81
64.4	1.447	176
65.2	1.431	69
74.2	1.278	129

Record 4
Diffraction record for Zr2NbH. The XRD peak list is simulated, not measured: it uses a crystal structure in Alexandria, relaxed with PBE and Cu Ka.
Peak positions follow from Bragg's law for the DFT cell and can differ from measured ones.

Cell and atoms:
```
Zr2NbH
1.0
3.032 0.000 0.000
-1.516 2.626 0.000
0.000 0.000 25.423
Zr Nb H
6 3 3
Cartesian
0.000 0.000 2.805
0.000 0.000 22.618
0.000 1.750 14.143
0.000 1.750 19.753
1.516 0.875 5.669
1.516 0.875 11.279
0.000 0.000 0.000
0.000 1.750 16.948
1.516 0.875 8.474
0.000 0.000 12.711
0.000 1.750 4.237
1.516 0.875 21.186
```

Largest 10 diffraction maxima, low angle first, 2θ from 10° to 80°:
two_theta	d/Å	I/Imax
31.7	2.825	579
34.3	2.612	1000
34.9	2.571	292
42.5	2.128	140
44.8	2.024	456
49.9	1.826	359
61.1	1.516	255
70.5	1.336	324
72.0	1.311	109
72.8	1.299	97

Record 5
Diffraction record for Nd2H. The XRD peak list is simulated, not measured: it uses a crystal structure in Alexandria, relaxed with PBE and Cu Ka.
Peak positions follow from Bragg's law for the DFT cell and can differ from measured ones.

Cell and atoms:
```
Nd2H
1.0
3.641 0.000 0.000
0.000 3.641 0.000
0.000 0.000 5.214
Nd H
2 1
Cartesian
0.000 0.000 0.000
1.820 1.820 2.607
0.000 0.000 2.607
```

Largest 10 diffraction maxima, low angle first, 2θ from 10° to 80°:
two_theta	d/Å	I/Imax
29.9	2.985	1000
34.4	2.607	177
34.8	2.574	341
49.8	1.832	248
50.1	1.820	122
58.9	1.568	148
59.5	1.554	287
62.2	1.493	127
72.5	1.303	20
73.6	1.287	38

Record 6
Diffraction record for NdH3. The XRD peak list is simulated, not measured: it uses a crystal structure in Alexandria, relaxed with PBE and Cu Ka.
Peak positions follow from Bragg's law for the DFT cell and can differ from measured ones.

Cell and atoms:
```
NdH3
1.0
6.640 0.000 0.000
-3.320 5.750 0.000
0.000 0.000 6.878
Nd H
6 18
Cartesian
-1.116 1.933 1.719
-2.204 3.817 5.158
2.232 0.000 1.719
1.116 1.933 5.158
4.407 0.000 5.158
2.204 3.817 1.719
0.000 0.000 1.719
0.000 0.000 5.158
-0.985 1.997 6.231
-2.083 3.898 2.792
0.985 1.997 2.792
-1.098 5.605 6.231
0.000 3.833 1.238
0.000 3.833 4.677
2.222 0.145 4.086
1.237 1.852 0.647
2.083 3.898 6.231
1.098 5.605 2.792
3.320 1.917 2.201
3.320 1.917 5.640
4.418 0.145 0.647
2.335 3.753 4.086
5.403 1.852 4.086
4.305 3.753 0.647
```

Largest 10 diffraction maxima, low angle first, 2θ from 10° to 80°:
two_theta	d/Å	I/Imax
25.9	3.439	328
26.9	3.320	225
29.9	2.990	1000
37.7	2.388	176
47.4	1.917	199
48.2	1.886	280
54.8	1.674	248
57.1	1.614	163
74.1	1.280	100
77.3	1.234	134

Record 7
Diffraction record for NdNi3H3. The XRD peak list is simulated, not measured: it uses a crystal structure in Alexandria, relaxed with PBE and Cu Ka.
Peak positions follow from Bragg's law for the DFT cell and can differ from measured ones.

Cell and atoms:
```
NdNi3H3
1.0
0.000 4.377 4.377
4.377 0.000 4.377
4.377 4.377 0.000
Nd Ni H
2 6 6
Cartesian
2.189 2.189 2.189
6.566 6.566 6.566
4.377 4.377 1.667
4.377 1.667 4.377
7.087 4.377 4.377
1.667 4.377 4.377
4.377 7.087 4.377
4.377 4.377 7.087
4.377 4.377 3.140
4.377 3.140 4.377
5.614 4.377 4.377
3.140 4.377 4.377
4.377 5.614 4.377
4.377 4.377 5.614
```

Largest 10 diffraction maxima, low angle first, 2θ from 10° to 80°:
two_theta	d/Å	I/Imax
17.5	5.054	329
28.8	3.095	410
35.5	2.527	1000
41.3	2.189	466
46.4	1.957	255
54.5	1.685	217
59.8	1.548	184
63.8	1.459	217
67.7	1.384	218
71.5	1.320	178

Record 8
Diffraction record for NdNiPH. The XRD peak list is simulated, not measured: it uses a crystal structure in Alexandria, relaxed with PBE and Cu Ka.
Peak positions follow from Bragg's law for the DFT cell and can differ from measured ones.

Cell and atoms:
```
NdNiPH
1.0
3.900 0.000 0.000
0.000 3.900 0.000
0.000 0.000 7.656
Nd Ni P H
2 2 2 2
Cartesian
0.975 0.975 1.375
2.925 2.925 6.281
0.975 2.925 3.828
2.925 0.975 3.828
0.975 0.975 5.016
2.925 2.925 2.640
0.975 2.925 0.000
2.925 0.975 0.000
```

Largest 10 diffraction maxima, low angle first, 2θ from 10° to 80°:
two_theta	d/Å	I/Imax
25.6	3.475	1000
32.5	2.758	295
32.8	2.732	969
34.6	2.595	503
35.2	2.552	309
40.3	2.238	797
46.6	1.950	528
53.3	1.718	323
53.9	1.701	272
58.1	1.587	366

Record 9
Diffraction record for NdNiSbH. The XRD peak list is simulated, not measured: it uses a crystal structure in Alexandria, relaxed with PBE and Cu Ka.
Peak positions follow from Bragg's law for the DFT cell and can differ from measured ones.

Cell and atoms:
```
NdNiSbH
1.0
4.342 0.000 0.000
-2.171 3.760 0.000
0.000 0.000 4.291
Nd Ni Sb H
1 1 1 1
Cartesian
0.000 0.000 0.000
2.171 1.253 2.476
0.000 2.507 2.092
2.171 1.253 4.057
```

Largest 10 diffraction maxima, low angle first, 2θ from 10° to 80°:
two_theta	d/Å	I/Imax
23.7	3.760	82
31.6	2.828	1000
41.6	2.171	441
42.1	2.145	119
48.9	1.863	68
53.2	1.722	228
60.7	1.526	237
69.7	1.349	200
70.4	1.337	97
75.9	1.253	72

Record 10
Diffraction record for NdNiSnH. The XRD peak list is simulated, not measured: it uses a crystal structure in Alexandria, relaxed with PBE and Cu Ka.
Peak positions follow from Bragg's law for the DFT cell and can differ from measured ones.

Cell and atoms:
```
NdNiSnH
1.0
7.251 0.000 0.000
0.000 4.380 0.000
0.000 0.000 8.524
Nd Ni Sn H
4 4 4 4
Cartesian
0.096 1.095 1.602
3.529 3.285 5.864
3.722 1.095 2.660
7.155 3.285 6.922
1.600 3.285 3.406
2.025 1.095 7.668
5.226 3.285 0.856
5.651 1.095 5.118
1.133 1.095 4.850
2.492 3.285 0.588
4.759 1.095 7.936
6.118 3.285 3.674
0.431 1.095 7.839
3.194 3.285 3.577
4.057 1.095 4.947
6.820 3.285 0.685
```

Largest 10 diffraction maxima, low angle first, 2θ from 10° to 80°:
two_theta	d/Å	I/Imax
31.8	2.815	892
32.0	2.793	213
32.4	2.762	356
33.8	2.654	1000
33.9	2.645	305
37.7	2.384	596
38.7	2.325	356
41.2	2.190	459
57.8	1.594	222
61.8	1.502	391

Record 11
Diffraction record for Nd2ZnNiH. The XRD peak list is simulated, not measured: it uses a crystal structure in Alexandria, relaxed with PBE and Cu Ka.
Peak positions follow from Bragg's law for the DFT cell and can differ from measured ones.

Cell and atoms:
```
Nd2ZnNiH
1.0
5.665 0.000 0.000
0.000 4.482 0.000
-1.720 0.000 7.578
Nd Zn Ni H
4 2 2 2
Cartesian
0.450 1.120 3.304
-0.372 1.120 7.092
4.317 3.361 0.486
3.495 3.361 4.274
0.845 3.361 5.529
3.100 1.120 2.049
1.656 3.361 1.718
2.289 1.120 5.860
0.072 3.361 2.461
3.873 1.120 5.117
```

Largest 10 diffraction maxima, low angle first, 2θ from 10° to 80°:
two_theta	d/Å	I/Imax
25.6	3.480	425
30.9	2.894	495
31.4	2.845	374
32.4	2.762	1000
35.7	2.512	241
37.4	2.402	372
38.3	2.351	307
40.2	2.241	368
41.2	2.191	214
47.1	1.928	232

Record 12
Diffraction record for NdHO. The XRD peak list is simulated, not measured: it uses a crystal structure in Alexandria, relaxed with PBE and Cu Ka.
Peak positions follow from Bragg's law for the DFT cell and can differ from measured ones.

Cell and atoms:
```
NdHO
1.0
-5.381 5.381 3.777
5.381 -5.381 3.777
5.381 5.381 -3.777
Nd H O
8 8 8
Cartesian
-0.068 0.130 1.768
2.560 2.623 0.120
2.821 -2.623 3.897
5.314 0.130 2.008
0.068 5.251 1.768
2.560 8.004 -0.120
2.821 2.758 3.657
5.449 5.251 2.008
6.442 0.981 -0.045
7.091 -1.630 1.843
1.710 -1.630 1.934
4.321 4.401 -0.045
1.061 0.981 3.822
3.671 7.011 1.843
-1.710 7.011 1.934
-1.061 4.401 3.822
0.977 1.044 -0.056
4.404 -1.044 3.721
3.735 1.713 1.833
-1.647 1.713 1.944
7.028 3.668 1.833
1.647 3.668 1.944
0.977 6.425 0.056
4.404 4.337 3.833
```

Largest 10 diffraction maxima, low angle first, 2θ from 10° to 80°:
two_theta	d/Å	I/Imax
14.3	6.183	111
23.4	3.805	1000
28.9	3.092	991
33.3	2.691	310
44.6	2.030	675
47.8	1.903	145
53.9	1.702	164
54.2	1.692	170
56.8	1.620	176
67.5	1.388	143